[1]
Simulated powder diffraction line list of RbCuAg2C4N4 for λ = 1.5418 Å (Cu Kα), from DFT lattice parameters and positions (PBE).
Lines closer than 0.1° are merged.

Atomic structure:
```
data_RbCuAg2C4N4
_cell_length_a 7.8622
_cell_length_b 7.7265
_cell_length_c 7.9312
_cell_angle_alpha 90.00
_cell_angle_beta 102.31
_cell_angle_gamma 90.00
_space_group_name_H-M_alt 'P 1 2/c 1'
_space_group_IT_number 13
loop_
_space_group_symop_operation_xyz
'x,y,z'
'-x,-y,-z'
'-x,y,-z+1/2'
'x,-y,z+1/2'
loop_
_atom_site_label
_atom_site_type_symbol
_atom_site_fract_x
_atom_site_fract_y
_atom_site_fract_z
Rb1 Rb 0.0000 0.2450 0.2500
Cu1 Cu 0.0000 0.2586 0.7500
Ag1 Ag 0.5000 0.0000 0.0000
Ag2 Ag 0.5000 0.4133 0.2500
C1 C 0.2852 0.0826 0.5882
C2 C 0.2891 0.4018 0.0457
N1 N 0.1635 0.1319 0.6385
N2 N 0.1672 0.3804 0.9325
```

Main lines, by intensity (2θ from 5° to 70°):
25.79 deg, I = 100.0, hkl 1 2 0; 23.16 deg, I = 40.4, hkl 2 0 0; 30.26 deg, I = 27.4, hkl 1 1 2; 31.31 deg, I = 25.0, hkl 2 1 -2; 27.26 deg, I = 20.0, hkl 1 2 -1; 26.13 deg, I = 19.6, hkl 1 1 -2; 42.34 deg, I = 18.5, hkl 3 2 0; 32.74 deg, I = 18.3, hkl 0 2 2; 53.20 deg, I = 11.6, hkl 1 4 -2; 27.91 deg, I = 10.1, hkl 1 0 2

---

[2]
Simulated powder diffraction line list of Pa3As4Pd7 for λ = 1.5418 Å (Cu Kα), from DFT lattice parameters and positions (PBE).
Lines closer than 0.1° are merged.

Atomic structure:
```
data_Pa3As4Pd7
_cell_length_a 15.5038
_cell_length_b 4.1748
_cell_length_c 9.6121
_cell_angle_alpha 90.00
_cell_angle_beta 124.56
_cell_angle_gamma 90.00
_space_group_name_H-M_alt 'C 1 2/m 1'
_space_group_IT_number 12
loop_
_space_group_symop_operation_xyz
'x,y,z'
'-x,-y,-z'
'-x,y,-z'
'x,-y,z'
'x+1/2,y+1/2,z'
'-x+1/2,-y+1/2,-z'
'-x+1/2,y+1/2,-z'
'x+1/2,-y+1/2,z'
loop_
_atom_site_label
_atom_site_type_symbol
_atom_site_fract_x
_atom_site_fract_y
_atom_site_fract_z
Pa1 Pa 0.0000 0.0000 0.0000
Pa2 Pa 0.1827 0.5000 0.6789
As1 As 0.1066 0.0000 0.8252
As2 As 0.1524 0.5000 0.2379
Pd1 Pd 0.0000 0.0000 0.5000
Pd2 Pd 0.0163 0.5000 0.3140
Pd3 Pd 0.1685 0.0000 0.4411
Pd4 Pd 0.1870 0.5000 0.0112
```

Main lines, by intensity (2θ from 5° to 70°):
36.19 deg, I = 100.0, hkl 5 1 -2; 34.72 deg, I = 72.8, hkl 1 1 2; 43.35 deg, I = 41.0, hkl 0 2 0; 35.36 deg, I = 29.9, hkl 3 1 -3; 29.98 deg, I = 28.5, hkl 3 1 0; 37.50 deg, I = 24.5, hkl 4 0 -4; 42.48 deg, I = 23.7, hkl 6 0 0; 38.84 deg, I = 20.0, hkl 5 1 -3; 62.31 deg, I = 16.6, hkl 6 2 0; 23.24 deg, I = 15.1, hkl 1 1 -1

---

[3]
Simulated powder diffraction line list of Fe4CoSi for λ = 1.5418 Å (Cu Kα), from DFT lattice parameters and positions (PBE).
Lines closer than 0.1° are merged.

Atomic structure:
```
data_Fe4CoSi
_cell_length_a 2.8359
_cell_length_b 2.8359
_cell_length_c 8.3487
_cell_angle_alpha 90.00
_cell_angle_beta 90.00
_cell_angle_gamma 90.00
_space_group_name_H-M_alt 'P 4/m m m'
_space_group_IT_number 123
_space_group_name_Hall '-P 4 2'
loop_
_atom_site_label
_atom_site_type_symbol
_atom_site_fract_x
_atom_site_fract_y
_atom_site_fract_z
Fe1 Fe 0.0000 0.0000 0.1607
Fe2 Fe 0.5000 0.5000 0.3296
Co1 Co 0.0000 0.0000 0.5000
Si1 Si 0.5000 0.5000 0.0000
```

Main lines, by intensity (2θ from 5° to 70°):
45.68 deg, I = 100.0, hkl 1 0 3; 45.22 deg, I = 51.9, hkl 1 1 0; 65.87 deg, I = 15.3, hkl 2 0 0; 67.29 deg, I = 7.0, hkl 0 0 6; 10.60 deg, I = 5.5, hkl 0 0 1; 38.37 deg, I = 3.4, hkl 1 0 2; 33.37 deg, I = 2.0, hkl 1 0 1; 31.55 deg, I = 1.5, hkl 1 0 0; 21.28 deg, I = 1.1, hkl 0 0 2; 32.16 deg, I = 0.7, hkl 0 0 3

---

[4]
Simulated powder diffraction line list of CoRuCl3 for λ = 1.5418 Å (Cu Kα), from DFT lattice parameters and positions (PBE).
Lines closer than 0.1° are merged.

Atomic structure:
```
data_CoRuCl3
_cell_length_a 3.5271
_cell_length_b 8.6749
_cell_length_c 9.1859
_cell_angle_alpha 107.92
_cell_angle_beta 90.00
_cell_angle_gamma 101.67
_space_group_name_H-M_alt 'P 1'
_space_group_IT_number 1
loop_
_space_group_symop_operation_xyz
'x,y,z'
loop_
_atom_site_label
_atom_site_type_symbol
_atom_site_fract_x
_atom_site_fract_y
_atom_site_fract_z
Co1 Co 0.0000 0.0000 0.0000
Co2 Co 0.1204 0.2419 0.9383
Ru1 Ru 0.4945 0.9888 0.3355
Ru2 Ru 0.5396 0.0796 0.8135
Cl1 Cl 0.0780 0.1567 0.2709
Cl2 Cl 0.4203 0.8397 0.0662
Cl3 Cl 0.5809 0.1623 0.5890
Cl4 Cl 0.7076 0.4172 0.0033
Cl5 Cl 0.9123 0.8237 0.3730
Cl6 Cl 0.9249 0.8489 0.7397
```

Main lines, by intensity (2θ from 5° to 70°):
10.97 deg, I = 100.0, hkl 0 1 0; 10.14 deg, I = 13.5, hkl 0 0 1; 30.28 deg, I = 12.3, hkl 1 1 -1; 19.87 deg, I = 11.4, hkl 0 1 -2; 20.37 deg, I = 7.5, hkl 0 0 2; 51.08 deg, I = 7.4, hkl 1 0 4; 38.66 deg, I = 7.3, hkl 1 -3 2; 39.74 deg, I = 7.1, hkl -1 2 2; 37.79 deg, I = 6.1, hkl 1 2 0; 46.18 deg, I = 5.6, hkl 1 3 -2